The following is a simulated X-ray powder pattern of Ru2AuCl. It was derived from DFT lattice parameters and positions (GGA-PBE), using Cu Kα, 1.54184 Å.
Peak positions follow from Bragg's law for the DFT cell and can differ from measured ones.

abc: 2.8631 2.8631 8.4901
angles: 90.00 90.00 90.00
Space group P4mm (No. 99)
Inequivalent atoms, fractional coordinates:
1 Ru 0.0000 0.0000 0.0000 [1 per cell]
2 Ru 0.5000 0.5000 0.1887 [1 per cell]
3 Au 0.0000 0.0000 0.4308 [1 per cell]
4 Cl 0.5000 0.5000 0.7958 [1 per cell]

The 10 most intense peaks (2θ = 5–70°), low angle first:
- 2θ = 10.42°, d = 8.490 Å, intensity 70, (0 0 1)
- 2θ = 20.93°, d = 4.245 Å, intensity 18, (0 0 2)
- 2θ = 31.24°, d = 2.863 Å, intensity 14, (1 0 0)
- 2θ = 33.02°, d = 2.713 Å, intensity 15, (1 0 1)
- 2θ = 37.90°, d = 2.374 Å, intensity 100, (1 0 2)
- 2θ = 42.59°, d = 2.123 Å, intensity 9, (0 0 4)
- 2θ = 44.77°, d = 2.024 Å, intensity 39, (1 1 0)
- 2θ = 45.04°, d = 2.013 Å, intensity 29, (1 0 3)
- 2θ = 63.50°, d = 1.465 Å, intensity 11, (1 1 4)
- 2θ = 65.17°, d = 1.432 Å, intensity 13, (2 0 0)